KBaAgCl4: computed powder XRD pattern (copper Kα), based on DFT lattice parameters and positions (GGA-PBE).
No peak broadening, texture or thermal motion is included.

Crystal structure
```
14
Lattice="7.394 0.000 0.000 0.000 7.131 0.000 -2.742 0.000 8.441" Properties=species:S:1:pos:R:3 pbc="T T T"
K 1.678 1.783 0.497
K 2.973 5.348 7.944
Ba 0.170 1.783 4.713
Ba 4.482 5.348 3.728
Ag 1.000 5.348 2.552
Ag 3.652 1.783 5.889
Cl -1.927 3.623 6.199
Cl -1.927 7.073 6.199
Cl 1.684 5.348 5.067
Cl 3.000 5.348 1.038
Cl 1.652 1.783 7.403
Cl 2.968 1.783 3.374
Cl 6.579 0.057 2.242
Cl 6.579 3.508 2.242
```

Top 10 peaks for 10 to 90 degrees two-theta, by intensity:
Position (°2θ), intensity
10.5, 100
30.3, 90
16.3, 87
30.6, 84
25.0, 67
35.9, 54
24.5, 51
27.3, 37
40.7, 37
32.9, 36

***

Ti2Co2H7: computed powder XRD pattern (copper Kα), based on DFT lattice parameters and positions (GGA-PBE).
No peak broadening, texture or thermal motion is included.

Crystal structure
```
11
Lattice="2.887 -3.108 0.000 2.887 3.108 0.000 0.000 0.000 3.996" Properties=species:S:1:pos:R:3 pbc="T T T"
Ti 1.386 0.000 0.000
Ti 4.388 0.000 0.000
Co 2.887 1.440 1.998
Co 2.887 -1.440 1.998
H 0.000 0.000 1.998
H 1.443 1.554 1.089
H 1.443 1.554 2.908
H 1.443 -1.554 1.089
H 1.443 -1.554 2.908
H 2.887 0.000 1.103
H 2.887 0.000 2.894
```

Top 10 peaks for 10 to 90 degrees two-theta, by intensity:
Position (°2θ), intensity
36.6, 100
38.5, 90
42.8, 58
64.1, 35
45.4, 26
73.1, 20
76.6, 19
59.5, 11
78.0, 9
79.2, 9

***

Y2FeSi4: computed powder XRD pattern (copper Kα), based on DFT lattice parameters and positions (GGA-PBE).
No peak broadening, texture or thermal motion is included.

Crystal structure
```
14
Lattice="3.996 0.000 0.000 0.000 4.112 0.000 0.000 0.000 15.177" Properties=species:S:1:pos:R:3 pbc="T T T"
Y 0.000 0.000 0.000
Y 0.000 2.056 7.588
Y 1.998 0.000 3.079
Y 1.998 2.056 10.667
Fe 0.000 0.000 12.090
Fe 0.000 2.056 4.501
Si 0.000 0.000 5.436
Si 0.000 0.000 9.818
Si 0.000 2.056 2.230
Si 0.000 2.056 13.025
Si 1.998 0.000 8.228
Si 1.998 0.000 13.028
Si 1.998 2.056 0.640
Si 1.998 2.056 5.439
```

Top 10 peaks for 10 to 90 degrees two-theta, by intensity:
Position (°2θ), intensity
36.0, 100
36.8, 42
31.8, 36
44.0, 28
45.4, 25
25.2, 25
42.3, 25
22.4, 21
59.8, 19
77.7, 17

***

PrThPdPt: computed powder XRD pattern (copper Kα), based on DFT lattice parameters and positions (GGA-PBE).
No peak broadening, texture or thermal motion is included.

Crystal structure
```
8
Lattice="4.478 0.000 0.000 0.000 3.889 0.000 0.000 0.000 11.420" Properties=species:S:1:pos:R:3 pbc="T T T"
Pr 0.000 0.000 0.000
Pr 0.000 1.944 5.710
Th 2.239 0.000 8.322
Th 2.239 1.944 2.612
Pd 2.239 0.000 5.111
Pd 2.239 1.944 10.821
Pt 0.000 0.000 3.024
Pt 0.000 1.944 8.734
```

Top 10 peaks for 10 to 90 degrees two-theta, by intensity:
Position (°2θ), intensity
31.5, 100
38.7, 71
31.3, 38
40.3, 27
15.5, 20
51.9, 19
46.7, 18
63.4, 15
37.4, 14
72.4, 14

***

Dy9In3N2: computed powder XRD pattern (copper Kα), based on DFT lattice parameters and positions (GGA-PBE).
No peak broadening, texture or thermal motion is included.

Crystal structure
```
14
Lattice="6.844 0.000 0.000 -3.422 5.927 0.000 0.000 0.000 8.385" Properties=species:S:1:pos:R:3 pbc="T T T"
Dy -1.711 2.964 0.000
Dy 0.000 2.018 5.629
Dy -1.674 4.918 5.629
Dy 1.748 1.009 2.756
Dy 3.422 0.000 0.000
Dy 1.711 2.964 0.000
Dy 1.674 4.918 5.629
Dy 5.096 1.009 2.756
Dy 3.422 3.909 2.756
In 0.000 0.000 0.000
In 0.000 3.951 2.797
In 3.422 1.976 5.588
N 0.000 3.951 6.994
N 3.422 1.976 1.392
```

Top 10 peaks for 10 to 90 degrees two-theta, by intensity:
Position (°2θ), intensity
32.0, 100
37.2, 53
63.8, 41
53.6, 37
87.9, 18
67.0, 12
79.2, 6
18.3, 3
41.7, 1
26.0, 1

***

CsK8Hg6: computed powder XRD pattern (copper Kα), based on DFT lattice parameters and positions (GGA-PBE).
No peak broadening, texture or thermal motion is included.

Crystal structure
```
15
Lattice="5.244 3.027 7.333 -5.244 3.027 7.333 0.000 -6.055 7.333" Properties=species:S:1:pos:R:3 pbc="T T T"
Cs 0.000 0.000 0.000
K -3.498 0.017 9.876
K -1.764 -3.021 12.125
K 0.000 0.000 7.328
K 1.734 -3.038 9.876
K -1.734 3.038 12.125
K 0.000 0.000 14.673
K 1.764 3.021 9.876
K 3.498 -0.017 12.125
Hg -1.837 -2.874 8.418
Hg -3.407 0.154 13.583
Hg -1.571 3.027 8.418
Hg 1.571 -3.027 13.583
Hg 3.407 -0.154 8.418
Hg 1.837 2.874 13.583
```

Top 10 peaks for 10 to 90 degrees two-theta, by intensity:
Position (°2θ), intensity
29.7, 100
29.5, 84
20.8, 61
12.1, 51
52.5, 36
42.4, 36
32.0, 31
16.9, 30
52.3, 16
36.4, 15

***

Pa3Tl2Se8: computed powder XRD pattern (copper Kα), based on DFT lattice parameters and positions (GGA-PBE).
No peak broadening, texture or thermal motion is included.

Crystal structure
```
13
Lattice="9.566 0.000 0.000 0.000 4.286 0.000 -4.658 0.000 10.747" Properties=species:S:1:pos:R:3 pbc="T T T"
Pa 0.000 0.000 0.000
Pa 0.923 2.143 3.716
Pa 3.985 2.143 7.031
Tl -0.824 0.000 7.542
Tl 5.732 0.000 3.205
Se -3.516 2.143 9.273
Se -0.751 0.000 4.414
Se 1.958 0.000 1.967
Se 1.219 2.143 6.538
Se 3.689 2.143 4.209
Se 2.950 0.000 8.780
Se 5.659 0.000 6.333
Se 8.424 2.143 1.475
```

Top 10 peaks for 10 to 90 degrees two-theta, by intensity:
Position (°2θ), intensity
10.1, 100
26.0, 88
31.0, 76
35.3, 66
23.1, 52
24.8, 46
42.2, 37
41.2, 28
18.6, 26
44.3, 26

***

Nb3AlGe: computed powder XRD pattern (copper Kα), based on DFT lattice parameters and positions (GGA-PBE).
No peak broadening, texture or thermal motion is included.

Crystal structure
```
20
Lattice="6.412 -2.817 0.000 6.412 2.817 0.000 -0.191 0.000 9.889" Properties=species:S:1:pos:R:3 pbc="T T T"
Nb 1.283 0.041 8.117
Nb 1.379 -0.041 3.173
Nb 5.561 1.453 9.042
Nb 3.827 0.175 6.954
Nb 6.976 1.453 5.791
Nb 3.922 -0.175 2.009
Nb 8.711 0.175 7.879
Nb 5.657 -1.453 4.097
Nb 8.807 -0.175 2.935
Nb 7.072 -1.453 0.847
Nb 11.255 0.041 6.716
Nb 11.350 -0.041 1.771
Al 4.447 1.341 4.342
Al 8.282 1.341 0.603
Al 4.352 -1.341 9.286
Al 8.186 -1.341 5.547
Ge 3.206 1.408 0.000
Ge 6.364 0.649 2.472
Ge 3.111 -1.408 4.944
Ge 6.269 -0.649 7.416
```

Top 10 peaks for 10 to 90 degrees two-theta, by intensity:
Position (°2θ), intensity
39.5, 100
36.7, 97
39.3, 85
38.6, 63
32.3, 44
37.7, 43
42.5, 35
19.5, 30
17.9, 29
39.8, 25

***

NaMnS: computed powder XRD pattern (copper Kα), based on DFT lattice parameters and positions (GGA-PBE).
No peak broadening, texture or thermal motion is included.

Crystal structure
```
6
Lattice="4.237 0.000 0.000 0.000 4.237 0.000 0.000 0.000 6.289" Properties=species:S:1:pos:R:3 pbc="T T T"
Na 1.059 3.178 0.000
Na 3.178 1.059 0.000
Mn 1.059 3.178 3.145
Mn 3.178 1.059 3.145
S 1.059 1.059 1.836
S 3.178 3.178 4.453
```

Top 10 peaks for 10 to 90 degrees two-theta, by intensity:
Position (°2θ), intensity
41.6, 100
14.1, 59
42.7, 50
25.3, 37
77.4, 27
29.8, 24
28.4, 17
61.9, 15
52.0, 12
75.3, 12

***

NaNiN: computed powder XRD pattern (copper Kα), based on DFT lattice parameters and positions (GGA-PBE).
No peak broadening, texture or thermal motion is included.

Crystal structure
```
3
Lattice="3.635 0.000 0.000 0.000 3.635 0.000 0.000 0.000 3.419" Properties=species:S:1:pos:R:3 pbc="T T T"
Na 0.000 0.000 0.000
Ni 1.817 1.817 1.709
N 1.817 1.817 0.000
```

Top 10 peaks for 10 to 90 degrees two-theta, by intensity:
Position (°2θ), intensity
34.9, 100
36.1, 100
24.5, 74
63.4, 36
50.2, 32
65.6, 26
76.5, 16
53.6, 13
84.2, 12
56.6, 12

***

Nd4Pt: computed powder XRD pattern (copper Kα), based on DFT lattice parameters and positions (GGA-PBE).
No peak broadening, texture or thermal motion is included.

Crystal structure
```
10
Lattice="-4.537 4.537 4.012 4.537 -4.537 4.012 4.537 4.537 -4.012" Properties=species:S:1:pos:R:3 pbc="T T T"
Nd 4.171 -2.717 2.742
Nd 4.904 1.820 -0.736
Nd 7.255 -0.366 1.270
Nd 1.820 0.366 1.270
Nd 1.820 4.171 0.736
Nd 2.717 0.366 4.748
Nd 4.904 2.717 2.742
Nd -0.366 2.717 3.276
Pt 4.537 0.000 2.006
Pt 0.000 0.000 4.012
```

Top 10 peaks for 10 to 90 degrees two-theta, by intensity:
Position (°2θ), intensity
29.7, 100
31.6, 71
37.4, 53
35.0, 45
38.6, 42
53.9, 39
19.6, 30
14.7, 30
51.6, 28
31.2, 24

***

V3P2W: computed powder XRD pattern (copper Kα), based on DFT lattice parameters and positions (GGA-PBE).
No peak broadening, texture or thermal motion is included.

Crystal structure
```
12
Lattice="-2.518 5.435 3.102 2.518 -5.435 3.102 2.518 5.435 -3.102" Properties=species:S:1:pos:R:3 pbc="T T T"
V 2.518 -2.083 1.551
V 0.000 0.000 1.551
V 2.518 2.083 1.551
V 0.000 3.352 1.551
V 0.000 0.000 4.653
V 0.000 7.518 1.551
P 0.703 1.705 0.000
P 3.221 3.730 0.000
P -0.703 1.705 3.102
P 1.815 3.730 3.102
W 2.518 0.000 0.000
W 0.000 5.435 0.000
```

Top 10 peaks for 10 to 90 degrees two-theta, by intensity:
Position (°2θ), intensity
42.3, 100
19.4, 58
35.0, 40
16.3, 35
35.7, 33
33.3, 25
49.5, 22
49.3, 16
33.0, 16
45.4, 15

***

Cu3Pd6Au: computed powder XRD pattern (copper Kα), based on DFT lattice parameters and positions (GGA-PBE).
No peak broadening, texture or thermal motion is included.

Crystal structure
```
20
Lattice="9.650 0.000 0.000 0.000 11.323 0.000 0.000 0.000 2.813" Properties=species:S:1:pos:R:3 pbc="T T T"
Cu 0.000 0.000 0.000
Cu 1.129 3.648 1.407
Cu 3.696 9.309 0.000
Cu 4.825 5.662 1.407
Cu 5.954 2.014 0.000
Cu 8.521 7.676 1.407
Pd 0.702 8.774 0.000
Pd 2.074 10.721 1.407
Pd 2.184 1.727 0.000
Pd 2.641 7.388 1.407
Pd 2.751 5.059 0.000
Pd 4.123 3.112 1.407
Pd 5.527 8.211 1.407
Pd 6.900 6.264 0.000
Pd 7.009 3.935 1.407
Pd 7.466 9.597 0.000
Pd 7.576 0.602 1.407
Pd 8.948 2.549 0.000
Au 0.000 5.662 0.000
Au 4.825 0.000 1.407
```

Top 10 peaks for 10 to 90 degrees two-theta, by intensity:
Position (°2θ), intensity
40.0, 100
43.5, 91
36.8, 68
42.5, 48
46.5, 47
41.1, 45
33.2, 42
40.6, 41
28.9, 36
79.2, 33